(1)
Rb5Cd3Au3: computed powder diffraction line list (Cu Kα X-rays), based on the PBE geometry in Alexandria.
Neutral-atom scattering factors, no anomalous dispersion.

Principal peaks in the range 15 to 90 degrees two-theta, sorted by position:
two_theta, I_rel
16.4, 35
16.7, 100
25.7, 38
29.2, 65
33.1, 26
33.6, 20
35.3, 19
37.3, 29
42.3, 20
44.7, 40

Structure:
```
data_Rb5Cd3Au3
_chemical_formula_sum 'Rb5 Cd3 Au3'
_space_group_name_H-M_alt 'P -6 2 m'
_space_group_IT_number 189
_space_group_name_Hall 'P -6 -2'
_cell_length_a 10.5994
_cell_length_b 10.5994
_cell_length_c 5.4206
_cell_angle_alpha 90.00
_cell_angle_beta 90.00
_cell_angle_gamma 120.00
loop_
_atom_site_label
_atom_site_type_symbol
_atom_site_fract_x
_atom_site_fract_y
_atom_site_fract_z
_atom_site_occupancy
Rb1 Rb 0.0000 0.2576 0.0000 1
Rb2 Rb 0.3333 0.6667 0.0000 1
Cd1 Cd 0.0000 0.6265 0.5000 1
Au1 Au 0.0000 0.6287 0.0000 1
```

(2)
TaNb2As: computed powder diffraction line list (Cu Kα X-rays), based on the PBE geometry in Alexandria.
Neutral-atom scattering factors, no anomalous dispersion.

Principal peaks in the range 15 to 90 degrees two-theta, sorted by position:
two_theta, I_rel
35.6, 77
36.6, 37
36.8, 35
38.7, 27
38.8, 26
39.7, 100
42.7, 45
56.7, 22
63.3, 24
74.1, 22

Structure:
```
data_TaNb2As
_chemical_formula_sum 'Ta8 Nb16 As8'
_space_group_name_H-M_alt 'I -4'
_space_group_IT_number 82
_cell_length_a 10.403
_cell_length_b 10.403
_cell_length_c 5.181
_cell_angle_alpha 90.00
_cell_angle_beta 90.00
_cell_angle_gamma 90.00
loop_
_space_group_symop_operation_xyz
'x,y,z'
'y,-x,-z'
'-x,-y,z'
'-y,x,-z'
'x+1/2,y+1/2,z+1/2'
'y+1/2,-x+1/2,-z+1/2'
'-x+1/2,-y+1/2,z+1/2'
'-y+1/2,x+1/2,-z+1/2'
loop_
_atom_site_label
_atom_site_type_symbol
_atom_site_fract_x
_atom_site_fract_y
_atom_site_fract_z
_atom_site_occupancy
Ta1 Ta 0.191 0.216 0.243 1
Nb1 Nb 0.016 0.644 0.988 1
Nb2 Nb 0.084 0.096 0.763 1
As1 As 0.027 0.709 0.488 1
```